Computed powder diffraction line list
Compound: Sb2Rh
Radiation: Cu Kα
Structure: a crystal structure in Alexandria, relaxed with PBE
Lines closer than 0.1° are merged.

Crystal structure
a b c (Å): 6.706 6.646 6.783
angles (deg): 90.00 116.47 90.00
Space group P2_1/c (No. 14)
One atom of each set of equivalent atoms:
1 Sb 0.150 0.137 0.373 x4
2 Sb 0.345 0.638 0.676 x4
3 Rh 0.272 0.000 0.788 x4

The 10 most intense peaks (2θ = 5–70°), sorted by position:
| two_theta | Rel. int. |
| --- | --- |
| 29.4 | 32 |
| 29.8 | 37 |
| 31.1 | 100 |
| 32.4 | 48 |
| 32.7 | 50 |
| 42.5 | 32 |
| 43.0 | 39 |
| 43.8 | 22 |
| 48.4 | 51 |
| 49.6 | 24 |